Structure and calculated XRD peak list of Rb2Pd3S2 (DFT lattice parameters and positions (PBE); a wavelength of 1.5418 Å).
Kinematic intensities with the Lorentz-polarization factor, no thermal factor.

The 6 most intense peaks (2θ = 10–80°), by intensity:
2θ/deg	I_rel
10.09	100
33.53	18
33.77	17
30.58	13
35.43	13
34.56	12

Crystal structure
```
Rb2Pd3S2
1.0
0.0000 5.2926 17.5405
4.1256 0.0000 17.5405
4.1256 5.2926 0.0000
Rb Pd S
8 12 8
Cartesian
2.9421 2.0589 6.1407 Rb
5.3091 4.7053 14.9109 Rb
3.2463 5.8800 6.1407 Rb
3.2463 2.0589 20.1702 Rb
5.0049 8.5263 14.9109 Rb
5.0049 4.7053 28.9404 Rb
2.9421 5.8800 20.1702 Rb
5.3091 8.5263 28.9404 Rb
0.0000 0.0000 0.0000 Pd
2.0628 2.6463 0.0000 Pd
2.0628 0.0000 8.7703 Pd
2.8482 2.6602 9.2828 Pd
3.3402 2.6602 17.0280 Pd
3.3402 5.2787 9.2828 Pd
5.4030 5.3066 18.0531 Pd
0.0000 2.6463 8.7703 Pd
2.8482 5.2787 17.0280 Pd
4.9110 5.3066 25.7983 Pd
4.9110 7.9250 18.0531 Pd
5.4030 7.9250 25.7983 Pd
4.0571 1.1560 15.4588 S
2.1313 1.1560 10.8520 S
6.1200 3.8023 19.6223 S
4.0571 6.7829 10.8520 S
4.1941 3.8023 24.2291 S
2.1313 6.7829 15.4588 S
6.1200 9.4292 24.2291 S
4.1941 9.4292 19.6223 S
```